Starting from a cell relaxed with GGA+U, the X-ray diffraction stick pattern of Li3VOF5 was calculated for Cu Kα X-rays.
Lines closer than 0.1° are merged.

Largest 10 diffraction maxima, by angle, 10 to 90 degrees two-theta:
2theta	I/Imax
19.6	42
19.9	100
27.8	60
28.8	24
44.6	29
44.8	30
46.1	23
57.4	12
61.3	11
62.5	15

Atomic structure:
```
data_Li3VOF5
_cell_length_a 6.414
_cell_length_b 6.422
_cell_length_c 6.201
_cell_angle_alpha 90.00
_cell_angle_beta 90.00
_cell_angle_gamma 90.00
_space_group_name_H-M_alt 'I m m 2'
_space_group_IT_number 44
_space_group_name_Hall 'I 2 -2'
loop_
_atom_site_label
_atom_site_fract_x
_atom_site_fract_y
_atom_site_fract_z
Li1 0.000 0.000 0.000
Li2 0.000 0.234 0.388
V1 0.000 0.500 0.836
O1 0.000 0.500 0.103
F1 0.000 0.202 0.785
F2 0.000 0.500 0.508
F3 0.189 0.000 0.286
```